Entry 1:
# MgZnN2
Calculated XRD peak list, Cu Kα X-rays. Input: DFT lattice parameters and positions (PBE).
Peak positions follow from Bragg's law for the DFT cell and can differ from measured ones.

abc: 5.422 5.422 5.422
angles: 90.00 90.00 90.00
Space group Fm-3m (No. 225)
Unique sites:
1 Mg 0.000 0.000 0.000 (multiplicity 4)
2 Zn 0.000 0.000 0.500 (multiplicity 4)
3 N 0.250 0.250 0.250 (multiplicity 8)

Principal peaks in the range 2θ from 10° to 80°, sorted by position:
2θ 28.51, I = 39, hkl 1 1 1
2θ 33.04, I = 47, hkl 2 0 0
2θ 47.42, I = 100, hkl 2 2 0
2θ 56.27, I = 17, hkl 3 1 1
2θ 69.32, I = 14, hkl 4 0 0
2θ 78.96, I = 17, hkl 4 2 0

---

Entry 2:
# MgZr3N4
Calculated XRD peak list, Cu Kα X-rays. Input: DFT lattice parameters and positions (PBE).
Peak positions follow from Bragg's law for the DFT cell and can differ from measured ones.

abc: 4.564 4.564 9.156
angles: 90.00 90.00 90.00
Space group I4/mmm (No. 139)
Unique sites:
1 Mg 0.000 0.000 0.000 (multiplicity 2)
2 Zr 0.000 0.000 0.500 (multiplicity 2)
3 Zr 0.000 0.500 0.250 (multiplicity 4)
4 N 0.000 0.000 0.247 (multiplicity 4)
5 N 0.000 0.500 0.000 (multiplicity 4)

Principal peaks in the range 2θ from 10° to 80°, sorted by position:
2θ 21.76, I = 23, hkl 1 0 1
2θ 33.99, I = 100, hkl 1 1 2
2θ 39.36, I = 34, hkl 0 0 4
2θ 39.49, I = 67, hkl 2 0 0
2θ 57.01, I = 63, hkl 2 2 0
2θ 68.12, I = 28, hkl 3 1 2

---

Entry 3:
# NaMg4
Calculated XRD peak list, Cu Kα X-rays. Input: DFT lattice parameters and positions (PBE).
Peak positions follow from Bragg's law for the DFT cell and can differ from measured ones.

abc: 7.282 7.282 4.687
angles: 90.00 90.00 90.00
Space group I4/m (No. 87)
Unique sites:
1 Na 0.000 0.000 0.000 (multiplicity 2)
2 Mg 0.093 0.696 0.500 (multiplicity 8)

Principal peaks in the range 2θ from 10° to 80°, sorted by position:
2θ 33.51, I = 100, hkl 1 2 1
2θ 38.41, I = 17, hkl 0 0 2
2θ 39.12, I = 32, hkl 3 1 0
2θ 55.99, I = 21, hkl 3 1 2
2θ 66.36, I = 12, hkl 1 2 3
2θ 67.32, I = 23, hkl 5 0 1

---

Entry 4:
# Na3Mg
Calculated XRD peak list, Cu Kα X-rays. Input: DFT lattice parameters and positions (PBE).
Peak positions follow from Bragg's law for the DFT cell and can differ from measured ones.

abc: 5.964 11.782 7.246
angles: 90.00 90.00 90.00
Space group Pnma (No. 62)
Unique sites:
1 Na 0.097 0.250 0.123 (multiplicity 4)
2 Na 0.241 0.504 0.378 (multiplicity 8)
3 Mg 0.099 0.250 0.641 (multiplicity 4)

Principal peaks in the range 2θ from 10° to 80°, sorted by position:
2θ 29.84, I = 35, hkl 1 1 2
2θ 30.35, I = 50, hkl 0 4 0
2θ 30.93, I = 22, hkl 2 1 0
2θ 32.67, I = 100, hkl 1 2 2
2θ 33.69, I = 33, hkl 2 2 0
2θ 61.86, I = 21, hkl 3 4 2

---

Entry 5:
# Na3Mg
Calculated XRD peak list, Cu Kα X-rays. Input: DFT lattice parameters and positions (PBE).
Peak positions follow from Bragg's law for the DFT cell and can differ from measured ones.

abc: 3.430 11.794 6.316
angles: 90.00 90.00 90.00
Space group Imm2 (No. 44)
Unique sites:
1 Na 0.000 0.000 0.000 (multiplicity 2)
2 Na 0.000 0.242 0.679 (multiplicity 4)
3 Mg 0.000 0.500 0.991 (multiplicity 2)

Principal peaks in the range 2θ from 10° to 80°, sorted by position:
2θ 29.64, I = 29, hkl 1 0 1
2θ 30.31, I = 46, hkl 0 4 0
2θ 32.15, I = 66, hkl 0 2 2
2θ 33.38, I = 100, hkl 1 2 1
2θ 42.91, I = 20, hkl 1 4 1
2θ 60.39, I = 22, hkl 1 4 3

---

Entry 6:
# NaMg3
Calculated XRD peak list, Cu Kα X-rays. Input: DFT lattice parameters and positions (PBE).
Peak positions follow from Bragg's law for the DFT cell and can differ from measured ones.

abc: 3.444 3.444 8.684
angles: 90.00 90.00 90.00
Space group P4/mmm (No. 123)
Unique sites:
1 Na 0.000 0.000 0.000 (multiplicity 1)
2 Mg 0.000 0.000 0.500 (multiplicity 1)
3 Mg 0.500 0.500 0.280 (multiplicity 2)

Principal peaks in the range 2θ from 10° to 80°, sorted by position:
2θ 33.20, I = 100, hkl 1 0 2
2θ 36.91, I = 40, hkl 1 1 0
2θ 41.60, I = 11, hkl 0 0 4
2θ 53.19, I = 13, hkl 2 0 0
2θ 56.81, I = 16, hkl 1 1 4
2θ 64.16, I = 27, hkl 2 1 2

---

Entry 7:
# Na3Mg2
Calculated XRD peak list, Cu Kα X-rays. Input: DFT lattice parameters and positions (PBE).
Peak positions follow from Bragg's law for the DFT cell and can differ from measured ones.

abc: 3.3502 3.3502 45.0268
angles: 90.00 90.00 120.00
Space group R-3m (No. 166, hexagonal axes)
Unique sites:
1 Na 0.0000 0.0000 0.0000 (multiplicity 3)
2 Na 0.0000 0.0000 0.2029 (multiplicity 6)
3 Mg 0.0000 0.0000 0.3984 (multiplicity 6)

Principal peaks in the range 2θ from 10° to 80°, sorted by position:
2θ 29.76, I = 41, hkl 0 0 15
2θ 32.42, I = 100, hkl 0 1 5
2θ 36.85, I = 69, hkl 1 0 10
2θ 51.37, I = 24, hkl 0 1 20
2θ 54.81, I = 21, hkl 1 1 0
2θ 63.61, I = 24, hkl 1 1 15

---

Entry 8:
# Na4Mg
Calculated XRD peak list, Cu Kα X-rays. Input: DFT lattice parameters and positions (PBE).
Peak positions follow from Bragg's law for the DFT cell and can differ from measured ones.

abc: 4.455 4.455 18.296
angles: 90.00 90.00 90.00
Space group I4/mmm (No. 139)
Unique sites:
1 Na 0.000 0.000 0.091 (multiplicity 4)
2 Na 0.000 0.500 0.250 (multiplicity 4)
3 Mg 0.000 0.000 0.500 (multiplicity 2)

Principal peaks in the range 2θ from 10° to 80°, sorted by position:
2θ 30.00, I = 100, hkl 1 1 2
2θ 31.64, I = 51, hkl 1 0 5
2θ 34.57, I = 23, hkl 1 1 4
2θ 40.50, I = 36, hkl 2 0 0
2θ 52.28, I = 23, hkl 2 1 5
2θ 58.29, I = 30, hkl 1 1 10

---

Copy entry 6 word for word.
# NaMg3
Calculated XRD peak list, Cu Kα X-rays. Input: DFT lattice parameters and positions (PBE).
Peak positions follow from Bragg's law for the DFT cell and can differ from measured ones.

abc: 3.444 3.444 8.684
angles: 90.00 90.00 90.00
Space group P4/mmm (No. 123)
Unique sites:
1 Na 0.000 0.000 0.000 (multiplicity 1)
2 Mg 0.000 0.000 0.500 (multiplicity 1)
3 Mg 0.500 0.500 0.280 (multiplicity 2)

Principal peaks in the range 2θ from 10° to 80°, sorted by position:
2θ 33.20, I = 100, hkl 1 0 2
2θ 36.91, I = 40, hkl 1 1 0
2θ 41.60, I = 11, hkl 0 0 4
2θ 53.19, I = 13, hkl 2 0 0
2θ 56.81, I = 16, hkl 1 1 4
2θ 64.16, I = 27, hkl 2 1 2